# GeH6F12
Computed powder X-ray diffraction pattern, Cu Kα (weighted mean of Kα1 and Kα2). Input: the PBE geometry in Alexandria.
Lines closer than 0.1° are merged.

Principal peaks in the range 10° ≤ 2θ ≤ 90°, low angle first:
Position (°2θ), d/Å, I_rel
13.47, 6.574, 100
16.00, 5.539, 93
19.48, 4.557, 57
21.30, 4.172, 86
24.69, 3.606, 80
38.48, 2.340, 52

Crystal structure
```
19
Lattice="5.820 0.000 0.000 1.501 5.800 0.000 1.408 0.549 6.574" Properties=species:S:1:pos:R:3 pbc="T T T"
Ge 0.000 0.000 0.000
H 2.418 4.996 4.228
H 2.131 1.962 1.923
H 1.971 1.767 0.159
H 6.758 4.582 6.414
H 6.598 4.387 4.650
H 6.311 1.353 2.345
F 1.330 1.694 2.859
F 2.572 1.980 5.975
F 3.370 5.356 5.066
F 2.844 5.115 0.886
F 2.671 2.124 1.008
F 4.034 2.713 3.720
F 4.695 3.636 2.853
F 6.058 4.225 5.566
F 5.885 1.234 5.687
F 5.359 0.993 1.507
F 6.157 4.369 0.598
F 7.399 4.655 3.715
```

---

# Nb2Al4Ga3
Computed powder X-ray diffraction pattern, Cu Kα (weighted mean of Kα1 and Kα2). Input: the PBE geometry in Alexandria.
Lines closer than 0.1° are merged.

Principal peaks in the range 10° ≤ 2θ ≤ 90°, low angle first:
Position (°2θ), d/Å, I_rel
19.07, 4.655, 48
38.50, 2.338, 95
39.09, 2.304, 100
42.53, 2.125, 35
44.44, 2.039, 32
48.19, 1.888, 27

Crystal structure
```
9
Lattice="4.759 -1.888 0.000 4.759 1.888 0.000 -3.012 0.000 8.196" Properties=species:S:1:pos:R:3 pbc="T T T"
Nb 0.739 0.000 1.765
Nb 5.767 0.000 6.431
Al -0.991 0.000 7.290
Al 3.574 0.000 2.674
Al 2.932 0.000 5.522
Al 7.497 0.000 0.906
Ga 0.045 0.000 4.529
Ga 4.759 0.000 0.000
Ga 6.460 0.000 3.666
```

---

# K3Pm3UO8
Computed powder X-ray diffraction pattern, Cu Kα (weighted mean of Kα1 and Kα2). Input: the PBE geometry in Alexandria.
Lines closer than 0.1° are merged.

Principal peaks in the range 10° ≤ 2θ ≤ 90°, low angle first:
Position (°2θ), d/Å, I_rel
13.89, 6.374, 100
28.00, 3.187, 27
29.15, 3.064, 40
30.28, 2.952, 58
34.45, 2.603, 76
48.04, 1.894, 25

Crystal structure
```
15
Lattice="3.584 2.069 6.374 -3.584 2.069 6.374 0.000 -4.138 6.374" Properties=species:S:1:pos:R:3 pbc="T T T"
K -1.792 -1.035 6.374
K -1.792 1.035 12.749
K 0.000 2.069 6.374
Pm -3.584 0.000 9.562
Pm -1.792 1.035 3.187
Pm 1.792 1.035 3.187
U 0.000 0.000 9.562
O 0.000 0.000 4.379
O -1.680 -0.970 10.690
O 0.000 -1.940 8.433
O -1.680 0.970 8.433
O 1.680 -0.970 10.690
O 0.000 1.940 10.690
O 1.680 0.970 8.433
O 0.000 0.000 14.744
```

---

# Tb4InTe2As
Computed powder X-ray diffraction pattern, Cu Kα (weighted mean of Kα1 and Kα2). Input: the PBE geometry in Alexandria.
Lines closer than 0.1° are merged.

Principal peaks in the range 10° ≤ 2θ ≤ 90°, low angle first:
Position (°2θ), d/Å, I_rel
29.08, 3.070, 51
29.21, 3.057, 100
40.82, 2.211, 19
41.69, 2.166, 75
50.90, 1.794, 20
52.52, 1.743, 19

Crystal structure
```
8
Lattice="7.563 0.000 0.000 0.000 4.233 0.000 -2.402 0.000 7.180" Properties=species:S:1:pos:R:3 pbc="T T T"
Tb 1.232 0.000 1.614
Tb 0.028 2.116 5.469
Tb 5.134 2.116 1.711
Tb 3.929 0.000 5.566
In 3.781 0.000 0.000
Te -1.201 0.000 3.590
Te 2.581 2.116 3.590
As 0.000 2.116 0.000
```

---

# Cu8PdAu2
Computed powder X-ray diffraction pattern, Cu Kα (weighted mean of Kα1 and Kα2). Input: the PBE geometry in Alexandria.
Lines closer than 0.1° are merged.

Principal peaks in the range 10° ≤ 2θ ≤ 90°, low angle first:
Position (°2θ), d/Å, I_rel
24.41, 3.647, 19
31.32, 2.856, 18
41.84, 2.159, 31
42.53, 2.126, 100
45.11, 2.010, 12
76.88, 1.240, 16

Crystal structure
```
11
Lattice="-2.159 3.406 5.241 2.159 -3.406 5.241 2.159 3.406 -5.241" Properties=species:S:1:pos:R:3 pbc="T T T"
Cu 0.000 0.000 1.496
Cu 2.159 2.155 -1.379
Cu 0.000 2.019 0.000
Cu 2.159 2.155 1.379
Cu 0.000 1.251 3.862
Cu 0.000 4.793 0.000
Cu 0.000 1.251 6.620
Cu 0.000 0.000 8.986
Pd 2.159 0.000 0.000
Au 2.159 0.000 2.967
Au 0.000 3.406 2.274
```